Computed powder diffraction line list
Compound: NbGaCo4
Radiation: Cu Kα (weighted mean of Kα1 and Kα2)
Structure: a crystal structure in Alexandria, relaxed with PBE
Neutral-atom scattering factors, no anomalous dispersion.

Cell and atoms:
Unit cell a=4.968 b=5.972 c=6.284 alpha=62.37 beta=68.09 gamma=74.32
Space group P-1 (No. 2)
One atom of each set of equivalent atoms:
Nb 0.019 0.102 0.226 [2 per cell]
Ga 0.348 0.257 0.397 [2 per cell]
Co 0.043 0.357 0.743 [2 per cell]
Co 0.292 0.483 0.945 [2 per cell]
Co 0.373 0.693 0.373 [2 per cell]
Co 0.377 0.913 0.922 [2 per cell]

The 10 most intense peaks (5 to 70 degrees two-theta), low angle first:
2θ/deg, Rel. int., h k l
41.7, 45, -1 2 1
43.0, 58, 2 2 1
44.0, 100, 2 0 2
44.2, 49, 0 2 -1
44.8, 45, 1 2 3
47.6, 9, 0 3 1
49.3, 10, 0 3 2
60.7, 14, 3 0 0
62.2, 11, 1 4 2
67.3, 12, 1 0 4

Computed powder diffraction line list
Compound: ThNbGa2Co5
Radiation: Cu Kα (weighted mean of Kα1 and Kα2)
Structure: a crystal structure in Alexandria, relaxed with PBE
Neutral-atom scattering factors, no anomalous dispersion.

Cell and atoms:
Unit cell a=4.376 b=4.376 c=7.110 alpha=90.00 beta=90.00 gamma=90.00
Space group P4/mmm (No. 123)
One atom of each set of equivalent atoms:
Th 0.000 0.000 0.000 [1 per cell]
Nb 0.000 0.000 0.500 [1 per cell]
Ga 0.500 0.500 0.333 [2 per cell]
Co 0.000 0.500 0.274 [4 per cell]
Co 0.500 0.500 0.000 [1 per cell]

The 10 most intense peaks (5 to 70 degrees two-theta), low angle first:
2θ/deg, Rel. int., h k l
23.9, 21, 1 0 1
28.9, 28, 1 1 0
32.4, 59, 1 0 2
38.0, 17, 0 0 3
38.6, 100, 1 1 2
41.3, 84, 2 0 0
53.4, 29, 2 1 2
57.3, 21, 2 0 3
59.8, 27, 2 2 0
67.9, 16, 2 0 4

Computed powder diffraction line list
Compound: TiNbGaCo
Radiation: Cu Kα (weighted mean of Kα1 and Kα2)
Structure: a crystal structure in Alexandria, relaxed with PBE
Neutral-atom scattering factors, no anomalous dispersion.

Cell and atoms:
Unit cell a=6.248 b=6.248 c=6.248 alpha=90.00 beta=90.00 gamma=90.00
Space group F-43m (No. 216)
One atom of each set of equivalent atoms:
Ti 0.000 0.000 0.000 [4 per cell]
Nb 0.000 0.000 0.500 [4 per cell]
Ga 0.250 0.250 0.750 [4 per cell]
Co 0.250 0.250 0.250 [4 per cell]

The 5 most intense peaks (5 to 70 degrees two-theta), low angle first:
2θ/deg, Rel. int., h k l
24.7, 8, 1 1 1
40.9, 100, 2 2 0
48.3, 4, 3 1 1
59.1, 16, 4 0 0
65.1, 2, 3 3 1

Computed powder diffraction line list
Compound: Nd3Ga4Co2
Radiation: Cu Kα (weighted mean of Kα1 and Kα2)
Structure: a crystal structure in Alexandria, relaxed with PBE
Neutral-atom scattering factors, no anomalous dispersion.

Cell and atoms:
Unit cell a=10.534 b=4.411 c=8.178 alpha=90.00 beta=102.09 gamma=90.00
Space group C2/m (No. 12)
One atom of each set of equivalent atoms:
Nd 0.000 0.000 0.000 [2 per cell]
Nd 0.115 0.500 0.696 [4 per cell]
Ga 0.108 0.000 0.408 [4 per cell]
Ga 0.216 0.500 0.089 [4 per cell]
Co 0.192 0.500 0.376 [4 per cell]

The 10 most intense peaks (5 to 70 degrees two-theta), low angle first:
2θ/deg, Rel. int., h k l
23.8, 19, 1 1 -1
32.7, 67, 1 1 2
33.1, 100, 3 1 -1
33.6, 23, 0 0 3
34.5, 27, 2 0 -3
38.9, 35, 4 0 1
40.9, 42, 0 2 0
43.5, 27, 3 1 -3
52.4, 17, 2 0 4
66.4, 16, 7 1 -2

Computed powder diffraction line list
Compound: NdGa12Co4
Radiation: Cu Kα (weighted mean of Kα1 and Kα2)
Structure: a crystal structure in Alexandria, relaxed with PBE
Neutral-atom scattering factors, no anomalous dispersion.

Cell and atoms:
Unit cell a=9.056 b=9.056 c=9.056 alpha=90.00 beta=90.00 gamma=90.00
Space group Im-3m (No. 229)
One atom of each set of equivalent atoms:
Nd 0.000 0.000 0.000 [2 per cell]
Ga 0.000 0.259 0.259 [24 per cell]
Co 0.250 0.250 0.250 [8 per cell]

The 10 most intense peaks (5 to 70 degrees two-theta), low angle first:
2θ/deg, Rel. int., h k l
13.8, 21, 1 1 0
19.6, 62, 2 0 0
24.1, 30, 2 1 1
31.2, 15, 3 1 0
34.3, 75, 2 2 2
39.8, 100, 4 0 0
44.8, 27, 4 2 0
57.6, 64, 4 4 0
61.4, 12, 4 4 2
68.8, 27, 6 2 2

Computed powder diffraction line list
Compound: Nd5GaCo2
Radiation: Cu Kα (weighted mean of Kα1 and Kα2)
Structure: a crystal structure in Alexandria, relaxed with PBE
Neutral-atom scattering factors, no anomalous dispersion.

Cell and atoms:
Unit cell a=7.762 b=7.762 c=13.600 alpha=90.00 beta=90.00 gamma=90.00
Space group I4/mcm (No. 140)
One atom of each set of equivalent atoms:
Nd 0.000 0.000 0.000 [4 per cell]
Nd 0.169 0.331 0.139 [16 per cell]
Ga 0.000 0.000 0.250 [4 per cell]
Co 0.110 0.390 0.500 [8 per cell]

The 10 most intense peaks (5 to 70 degrees two-theta), low angle first:
2θ/deg, Rel. int., h k l
26.5, 41, 2 1 1
30.9, 21, 1 1 4
32.5, 100, 2 1 3
32.6, 18, 2 2 0
35.1, 56, 2 0 4
36.6, 53, 3 1 0
48.8, 16, 4 1 1
52.7, 24, 4 1 3
54.1, 14, 2 1 7
57.2, 26, 3 3 4

Computed powder diffraction line list
Compound: Nd8GaCo2
Radiation: Cu Kα (weighted mean of Kα1 and Kα2)
Structure: a crystal structure in Alexandria, relaxed with PBE
Neutral-atom scattering factors, no anomalous dispersion.

Cell and atoms:
Unit cell a=8.576 b=13.636 c=5.611 alpha=90.00 beta=106.07 gamma=90.00
Space group Cm (No. 8)
One atom of each set of equivalent atoms:
Nd 0.000 0.000 0.000 [2 per cell]
Nd 0.095 0.374 0.751 [4 per cell]
Nd 0.179 0.126 0.625 [4 per cell]
Nd 0.274 0.500 0.377 [2 per cell]
Nd 0.387 0.239 0.188 [4 per cell]
Ga 0.387 0.000 0.190 [2 per cell]
Co 0.387 0.288 0.688 [4 per cell]

The 10 most intense peaks (5 to 70 degrees two-theta), low angle first:
2θ/deg, Rel. int., h k l
30.7, 72, 2 0 1
31.0, 100, 0 4 1
32.6, 51, 1 1 -2
32.9, 62, 3 1 -1
33.2, 24, 0 0 2
34.1, 85, 2 4 0
35.8, 23, 0 2 2
37.2, 27, 1 5 -1
52.8, 35, 2 4 2
63.2, 22, 2 8 1

Computed powder diffraction line list
Compound: Nd11Ga9Co4
Radiation: Cu Kα (weighted mean of Kα1 and Kα2)
Structure: a crystal structure in Alexandria, relaxed with PBE
Neutral-atom scattering factors, no anomalous dispersion.

Cell and atoms:
Unit cell a=14.101 b=21.075 c=3.725 alpha=90.00 beta=90.00 gamma=90.00
Space group Cmmm (No. 65)
One atom of each set of equivalent atoms:
Nd 0.000 0.000 0.000 [2 per cell]
Nd 0.000 0.170 0.000 [4 per cell]
Nd 0.000 0.376 0.000 [4 per cell]
Nd 0.188 0.500 0.000 [4 per cell]
Nd 0.244 0.171 0.000 [8 per cell]
Ga 0.000 0.500 0.500 [2 per cell]
Ga 0.100 0.271 0.500 [8 per cell]
Ga 0.154 0.068 0.500 [8 per cell]
Co 0.158 0.397 0.500 [8 per cell]

The 10 most intense peaks (5 to 70 degrees two-theta), low angle first:
2θ/deg, Rel. int., h k l
25.3, 18, 4 0 0
28.4, 13, 3 5 0
32.7, 13, 1 5 1
33.2, 15, 3 3 1
35.1, 100, 4 0 1
36.1, 37, 4 6 0
37.5, 25, 3 5 1
39.0, 12, 1 9 0
48.9, 21, 0 0 2
62.3, 13, 4 6 2

Please write out number 2 again, unchanged.
Computed powder diffraction line list
Compound: ThNbGa2Co5
Radiation: Cu Kα (weighted mean of Kα1 and Kα2)
Structure: a crystal structure in Alexandria, relaxed with PBE
Neutral-atom scattering factors, no anomalous dispersion.

Cell and atoms:
Unit cell a=4.376 b=4.376 c=7.110 alpha=90.00 beta=90.00 gamma=90.00
Space group P4/mmm (No. 123)
One atom of each set of equivalent atoms:
Th 0.000 0.000 0.000 [1 per cell]
Nb 0.000 0.000 0.500 [1 per cell]
Ga 0.500 0.500 0.333 [2 per cell]
Co 0.000 0.500 0.274 [4 per cell]
Co 0.500 0.500 0.000 [1 per cell]

The 10 most intense peaks (5 to 70 degrees two-theta), low angle first:
2θ/deg, Rel. int., h k l
23.9, 21, 1 0 1
28.9, 28, 1 1 0
32.4, 59, 1 0 2
38.0, 17, 0 0 3
38.6, 100, 1 1 2
41.3, 84, 2 0 0
53.4, 29, 2 1 2
57.3, 21, 2 0 3
59.8, 27, 2 2 0
67.9, 16, 2 0 4